Record 1
# Nd2SiGeAu2
Calculated powder diffraction line list, Cu Kα (weighted mean of Kα1 and Kα2). Input: a cell relaxed with GGA-PBE.
Kinematic intensities with the Lorentz-polarization factor, no thermal factor.

Largest 10 diffraction maxima, in order of rising 2θ, 2θ from 10° to 90°:
25.75°, I = 38; 32.11°, I = 100; 40.76°, I = 12; 40.90°, I = 55; 44.47°, I = 15; 52.93°, I = 25; 62.01°, I = 33; 68.98°, I = 22; 74.09°, I = 9; 74.46°, I = 14

Structure:
a = 4.413 Å, b = 4.413 Å, c = 8.148 Å
α = 90.00°, β = 90.00°, γ = 120.00°
Fractional positions:
Nd 0.000 0.000 0.249
Nd 0.000 0.000 0.751
Si 0.667 0.333 0.000
Ge 0.333 0.667 0.500
Au 0.333 0.667 0.000
Au 0.667 0.333 0.500

---

Record 2
# Nd3Sn2Ge2Au4
Calculated powder diffraction line list, Cu Kα (weighted mean of Kα1 and Kα2). Input: a cell relaxed with GGA-PBE.
Kinematic intensities with the Lorentz-polarization factor, no thermal factor.

Largest 10 diffraction maxima, in order of rising 2θ, 2θ from 10° to 90°:
26.08°, I = 23; 31.64°, I = 23; 32.18°, I = 100; 32.86°, I = 94; 35.01°, I = 26; 36.27°, I = 54; 39.33°, I = 54; 41.59°, I = 35; 58.57°, I = 26; 73.24°, I = 21

Structure:
a = 8.791 Å, b = 8.791 Å, c = 8.791 Å
α = 149.79°, β = 131.72°, γ = 58.02°
Fractional positions:
Nd 0.000 0.000 0.000
Nd 0.376 0.876 0.500
Nd 0.624 0.124 0.500
Sn 0.218 0.218 0.000
Sn 0.782 0.782 0.000
Ge 0.320 0.500 0.820
Ge 0.680 0.500 0.180
Au 0.040 0.342 0.698
Au 0.357 0.658 0.698
Au 0.643 0.342 0.302
Au 0.960 0.658 0.302